Record 1
Starting from a PBE-relaxed structure, the powder X-ray diffraction pattern of BaScBi was computed for Cu Kα X-rays.
Lines closer than 0.1° are merged.

```
data_BaScBi
_symmetry_space_group_name_H-M 'P -6 2 m'
_symmetry_Int_Tables_number 189
_symmetry_space_group_name_Hall 'P -6 -2'
_cell_length_a 8.4338
_cell_length_b 8.4338
_cell_length_c 5.1206
_cell_angle_alpha 90.00
_cell_angle_beta 90.00
_cell_angle_gamma 120.00
loop_
_atom_site_label
_atom_site_type_symbol
_atom_site_fract_x
_atom_site_fract_y
_atom_site_fract_z
Ba1 Ba 0.0000 0.4168 0.0000
Sc1 Sc 0.0000 0.7769 0.5000
Bi1 Bi 0.0000 0.0000 0.0000
Bi2 Bi 0.3333 0.6667 0.5000
```

Most intense lines, 2θ = 15–90°, by angle:
2θ = 21.1°, intensity 48, (1 1 0)
2θ = 21.2°, intensity 28, (1 0 1)
2θ = 27.4°, intensity 54, (1 1 1)
2θ = 30.1°, intensity 100, (2 0 1)
2θ = 35.0°, intensity 29, (0 0 2)
2θ = 37.0°, intensity 74, (3 0 0)
2θ = 41.3°, intensity 18, (1 1 2)
2θ = 48.3°, intensity 17, (3 1 1)
2θ = 51.8°, intensity 25, (3 0 2)
2θ = 57.9°, intensity 37, (4 1 0)

=====

Record 2
Starting from a PBE-relaxed structure, the powder X-ray diffraction pattern of Li2PaRh5 was computed for Cu Kα X-rays.
Lines closer than 0.1° are merged.

```
data_Li2PaRh5
_symmetry_space_group_name_H-M 'I 4/m m m'
_symmetry_Int_Tables_number 139
_symmetry_space_group_name_Hall '-I 4 2'
_cell_length_a 4.108
_cell_length_b 4.108
_cell_length_c 13.969
_cell_angle_alpha 90.00
_cell_angle_beta 90.00
_cell_angle_gamma 90.00
loop_
_atom_site_label
_atom_site_type_symbol
_atom_site_fract_x
_atom_site_fract_y
_atom_site_fract_z
Li1 Li 0.000 0.000 0.248
Pa1 Pa 0.000 0.000 0.000
Rh1 Rh 0.000 0.000 0.500
Rh2 Rh 0.000 0.500 0.137
```

Most intense lines, 2θ = 15–90°, by angle:
2θ = 22.6°, intensity 11, (1 0 1)
2θ = 33.4°, intensity 44, (1 1 2)
2θ = 38.7°, intensity 13, (0 0 6)
2θ = 40.4°, intensity 100, (1 1 4)
2θ = 44.1°, intensity 41, (2 0 0)
2θ = 60.1°, intensity 14, (2 0 6)
2θ = 64.1°, intensity 14, (2 2 0)
2θ = 70.8°, intensity 16, (2 0 8)
2θ = 75.5°, intensity 10, (1 1 10)
2θ = 78.6°, intensity 28, (3 1 4)